# 1
Structure and calculated X-ray powder pattern of SmUTi2O8 (a cell relaxed with PBE; Cu Kα (λ = 1.5418 Å)).
No peak broadening, texture or thermal motion is included.

Largest 8 diffraction maxima, by angle, 2θ from 10° to 90°:
| 2θ/deg | I/Imax |
| --- | --- |
| 18.9 | 50 |
| 29.2 | 100 |
| 34.7 | 20 |
| 39.8 | 19 |
| 48.0 | 31 |
| 49.8 | 15 |
| 55.5 | 17 |
| 58.8 | 28 |

Crystal structure
a = 6.6601 Å, b = 6.6601 Å, c = 6.6601 Å
α = 134.27°, β = 134.27°, γ = 66.67°
Sites, in units of the cell vectors:
Sm1 0.0000 0.0000 0.0000
U1 0.2500 0.7500 0.5000
Ti1 0.5000 0.5000 0.0000
Ti2 0.7500 0.2500 0.5000
O1 0.0083 0.0677 0.4179
O2 0.2489 0.6677 0.0944
O3 0.3323 0.4267 0.5812
O4 0.4096 0.9917 0.0594
O5 0.5733 0.1545 0.9056
O6 0.6498 0.5904 0.5821
O7 0.8455 0.7511 0.4188
O8 0.9323 0.3502 0.9406

***

# 2
Structure and calculated X-ray powder pattern of KBa2TcO6 (a cell relaxed with PBE; Cu Kα (λ = 1.5418 Å)).
No peak broadening, texture or thermal motion is included.

Largest 8 diffraction maxima, by angle, 2θ from 10° to 90°:
| 2θ/deg | I/Imax |
| --- | --- |
| 14.0 | 100 |
| 24.0 | 52 |
| 30.3 | 89 |
| 31.3 | 34 |
| 33.6 | 41 |
| 39.0 | 31 |
| 44.2 | 25 |
| 63.1 | 17 |

Crystal structure
a = 13.0767 Å, b = 13.0767 Å, c = 13.0767 Å
α = 26.03°, β = 26.03°, γ = 26.03°
Sites, in units of the cell vectors:
K1 0.0874 0.0874 0.0874
K2 0.9126 0.9126 0.9126
Ba1 0.1916 0.1916 0.1916
Ba2 0.3571 0.3571 0.3571
Ba3 0.6429 0.6429 0.6429
Ba4 0.8084 0.8084 0.8084
Tc1 0.0000 0.0000 0.0000
Tc2 0.5000 0.5000 0.5000
O1 0.1242 0.1242 0.6647
O2 0.1242 0.6647 0.1242
O3 0.2208 0.6826 0.6826
O4 0.3174 0.3174 0.7792
O5 0.3174 0.7792 0.3174
O6 0.3353 0.8758 0.8758
O7 0.6647 0.1242 0.1242
O8 0.6826 0.2208 0.6826
O9 0.6826 0.6826 0.2208
O10 0.7792 0.3174 0.3174
O11 0.8758 0.3353 0.8758
O12 0.8758 0.8758 0.3353

***

# 3
Structure and calculated X-ray powder pattern of KBiRuO6 (a cell relaxed with PBE; Cu Kα (λ = 1.5418 Å)).
No peak broadening, texture or thermal motion is included.

Largest 8 diffraction maxima, by angle, 2θ from 10° to 90°:
| 2θ/deg | I/Imax |
| --- | --- |
| 15.0 | 93 |
| 18.4 | 43 |
| 23.8 | 100 |
| 32.1 | 46 |
| 35.7 | 66 |
| 40.4 | 22 |
| 44.8 | 56 |
| 52.5 | 24 |

Crystal structure
a = 5.5708 Å, b = 5.5708 Å, c = 5.8882 Å
α = 90.00°, β = 90.00°, γ = 120.00°
Sites, in units of the cell vectors:
K1 0.0000 0.0000 0.0000
Bi1 0.3333 0.6667 0.5000
Ru1 0.6667 0.3333 0.5000
O1 0.4116 0.0369 0.6929
O2 0.4116 0.3747 0.3071
O3 0.6253 0.0369 0.3071
O4 0.6253 0.5884 0.6929
O5 0.9631 0.3747 0.6929
O6 0.9631 0.5884 0.3071

***

# 4
Structure and calculated X-ray powder pattern of VNi6 (a cell relaxed with PBE; Cu Kα (λ = 1.5418 Å)).
No peak broadening, texture or thermal motion is included.

Largest 7 diffraction maxima, by angle, 2θ from 10° to 90°:
| 2θ/deg | I/Imax |
| --- | --- |
| 26.4 | 1 |
| 37.1 | 1 |
| 45.5 | 100 |
| 45.6 | 99 |
| 66.4 | 29 |
| 84.2 | 43 |
| 84.5 | 14 |

Crystal structure
a = 6.1226 Å, b = 6.1226 Å, c = 6.1226 Å
α = 37.98°, β = 37.98°, γ = 37.98°
Sites, in units of the cell vectors:
V1 0.0000 0.0000 0.0000
Ni1 0.1419 0.1419 0.1419
Ni2 0.2876 0.2876 0.2876
Ni3 0.4306 0.4306 0.4306
Ni4 0.5694 0.5694 0.5694
Ni5 0.7124 0.7124 0.7124
Ni6 0.8581 0.8581 0.8581